Record 1
Starting from a DFT-relaxed cell (PBE, Alexandria), the PXRD pattern of LuTl2Pb was calculated for copper Kα.
Lines closer than 0.1° are merged.

The 10 most intense peaks (10° ≤ 2θ ≤ 90°), sorted by position:
Position (°2θ)  I (rel.)  (hkl)
32.42  100.0  1 1 1
34.99  20.5  0 0 2
38.86  30.9  2 0 0
53.27  25.2  2 0 2
56.12  10.8  2 2 0
61.13  16.7  1 1 3
66.32  26.3  3 1 1
67.87  12.3  2 2 2
86.80  6.6  2 0 4
87.70  13.0  3 1 3

Crystal structure
Lattice parameters (Å, degrees): 4.635 4.635 5.129 90.00 90.00 90.00
Fractional coordinates of all 4 atoms:
Lu 0.000 0.000 0.000
Tl 0.000 0.500 0.500
Tl 0.500 0.000 0.500
Pb 0.500 0.500 0.000

=====

Record 2
Starting from a DFT-relaxed cell (PBE, Alexandria), the PXRD pattern of La3PuS4 was calculated for copper Kα.
Lines closer than 0.1° are merged.

The 10 most intense peaks (10° ≤ 2θ ≤ 90°), sorted by position:
Position (°2θ)  I (rel.)  (hkl)
26.50  81.3  1 1 1
30.69  100.0  2 0 0
43.96  73.4  2 2 0
52.06  41.2  3 1 1
54.56  25.7  2 2 2
63.91  12.0  4 0 0
70.44  16.9  3 3 1
72.56  33.0  4 2 0
80.81  24.9  4 2 2
86.87  13.2  5 1 1

Crystal structure
Lattice parameters (Å, degrees): 5.826 5.826 5.826 90.00 90.00 90.00
Fractional coordinates of all 8 atoms:
La 0.000 0.000 0.500
La 0.000 0.500 0.000
La 0.500 0.000 0.000
Pu 0.500 0.500 0.500
S 0.000 0.000 0.000
S 0.000 0.500 0.500
S 0.500 0.000 0.500
S 0.500 0.500 0.000